No. 1
This entry pairs a crystal structure of Nd2Sm2CIF4 with its simulated X-ray powder pattern. Radiation: Cu Kα, 1.54184 Å. Structure: a GGA-PBE-relaxed structure.
Peak positions follow from Bragg's law for the DFT cell and can differ from measured ones.

Crystal structure
Cell lengths 13.902, 3.821, 8.551 Å; angles 90.00, 124.34, 90.00 degrees
Space group C2/m (No. 12)
Symmetry-distinct sites (fractional):
Nd  0.209  0.000  0.243 x4
Sm  0.026  0.500  0.835 x4
C  0.000  0.000  0.000 x2
I  0.000  0.000  0.500 x2
F  0.183  0.500  0.396 x4
F  0.232  0.500  0.092 x4

Peak list (8 most intense, 2θ = 10–80°, in order of rising 2θ)
2θ (°)	d/Å	I_rel
26.1	3.414	37.1
29.6	3.014	99.0
30.3	2.948	37.6
31.2	2.870	48.1
32.7	2.737	100.0
39.5	2.282	32.7
47.6	1.911	34.2
52.2	1.752	45.1

No. 2
This entry pairs a crystal structure of YEr2Mg3Tl2Hg with its simulated X-ray powder pattern. Radiation: Cu Kα, 1.54184 Å. Structure: a GGA-PBE-relaxed structure.
Peak positions follow from Bragg's law for the DFT cell and can differ from measured ones.

Crystal structure
Cell lengths 4.585, 13.011, 7.477 Å; angles 90.00, 90.00, 90.00 degrees
Space group Amm2 (No. 38)
Symmetry-distinct sites (fractional):
Y  0.000  0.000  0.000 x2
Er  0.000  0.211  0.633 x4
Mg  0.500  0.000  0.662 x2
Mg  0.500  0.119  0.303 x4
Tl  0.500  0.168  0.922 x4
Hg  0.000  0.000  0.425 x2

Peak list (8 most intense, 2θ = 10–80°, in order of rising 2θ)
2θ (°)	d/Å	I_rel
23.7	3.747	81.9
30.8	2.901	51.3
33.8	2.649	100.0
39.3	2.293	25.6
41.7	2.166	32.9
41.8	2.161	31.8
46.4	1.956	17.6
66.0	1.416	17.2

No. 3
This entry pairs a crystal structure of AgTeAsO with its simulated X-ray powder pattern. Radiation: Cu Kα, 1.54184 Å. Structure: a GGA-PBE-relaxed structure.
Peak positions follow from Bragg's law for the DFT cell and can differ from measured ones.

Crystal structure
Cell lengths 7.168, 7.829, 6.217 Å; angles 90.00, 100.32, 90.00 degrees
Space group P2_1/c (No. 14)
Symmetry-distinct sites (fractional):
Ag  0.000  0.206  0.015 x4
Te  0.199  0.000  0.351 x4
As  0.481  0.096  0.806 x4
O  0.402  0.613  0.395 x4

Peak list (8 most intense, 2θ = 10–80°, in order of rising 2θ)
2θ (°)	d/Å	I_rel
23.8	3.741	48.9
29.2	3.059	100.0
34.0	2.638	69.3
34.2	2.620	47.8
37.5	2.400	38.2
37.7	2.386	52.5
40.5	2.225	39.8
45.0	2.015	38.6

No. 4
This entry pairs a crystal structure of Y4Mg3Ni2 with its simulated X-ray powder pattern. Radiation: Cu Kα, 1.54184 Å. Structure: a GGA-PBE-relaxed structure.
Peak positions follow from Bragg's law for the DFT cell and can differ from measured ones.

Crystal structure
Cell lengths 7.476, 3.679, 8.245 Å; angles 90.00, 108.16, 90.00 degrees
Space group P2/m (No. 10)
Symmetry-distinct sites (fractional):
Y  0.091  0.000  0.224 x2
Y  0.394  0.000  0.679 x2
Mg  0.000  0.500  0.500 x1
Mg  0.291  0.500  0.001 x2
Ni  0.346  0.500  0.390 x2

Peak list (8 most intense, 2θ = 10–80°, in order of rising 2θ)
2θ (°)	d/Å	I_rel
11.3	7.834	54.9
14.0	6.336	64.6
33.4	2.681	82.0
34.4	2.608	100.0
35.8	2.510	32.8
37.5	2.400	29.2
38.3	2.349	28.1
39.5	2.283	47.0

No. 5
This entry pairs a crystal structure of Li6Zn2O7 with its simulated X-ray powder pattern. Radiation: Cu Kα, 1.54184 Å. Structure: a GGA-PBE-relaxed structure.
Peak positions follow from Bragg's law for the DFT cell and can differ from measured ones.

Crystal structure
Cell lengths 5.009, 5.063, 5.701 Å; angles 88.81, 73.22, 79.71 degrees
Space group P-1 (No. 2)
Symmetry-distinct sites (fractional):
Li  0.226  0.362  0.297 x2
Li  0.227  0.369  0.833 x2
Li  0.232  0.920  0.564 x2
Zn  0.254  0.866  0.067 x2
O  0.029  0.764  0.868 x2
O  0.030  0.728  0.374 x2
O  0.496  0.998  0.243 x2
O  0.500  0.500  0.000 x1

Peak list (8 most intense, 2θ = 10–80°, in order of rising 2θ)
2θ (°)	d/Å	I_rel
16.2	5.455	100.0
17.8	4.979	46.6
24.6	3.619	21.3
28.3	3.152	24.2
31.5	2.844	21.6
44.1	2.054	29.8
44.2	2.048	29.5
44.8	2.022	28.5

No. 6
This entry pairs a crystal structure of Np2Se5 with its simulated X-ray powder pattern. Radiation: Cu Kα, 1.54184 Å. Structure: a GGA-PBE-relaxed structure.
Peak positions follow from Bragg's law for the DFT cell and can differ from measured ones.

Crystal structure
Cell lengths 5.475, 5.475, 10.580 Å; angles 90.00, 90.00, 90.00 degrees
Space group P4_2/nmc (No. 137, origin choice 2)
Symmetry-distinct sites (fractional):
Np  0.250  0.250  0.150 x4
Se  0.006  0.750  0.103 x8
Se  0.250  0.750  0.750 x2

Peak list (8 most intense, 2θ = 10–80°, in order of rising 2θ)
2θ (°)	d/Å	I_rel
23.0	3.871	40.5
23.4	3.804	47.7
32.7	2.737	36.8
33.9	2.647	33.0
37.8	2.383	31.4
40.6	2.222	100.0
41.3	2.184	26.0
63.8	1.459	24.9

No. 7
This entry pairs a crystal structure of K7TaS6O24 with its simulated X-ray powder pattern. Radiation: Cu Kα, 1.54184 Å. Structure: a GGA-PBE-relaxed structure.
Peak positions follow from Bragg's law for the DFT cell and can differ from measured ones.

Crystal structure
Cell lengths 14.8652, 14.8652, 9.1841 Å; angles 90.00, 90.00, 120.00 degrees
Space group R-3 (No. 148, hexagonal axes)
Symmetry-distinct sites (fractional):
K  0.0000  0.0000  0.0000 x3
K  0.0588  0.7862  0.1297 x18
Ta  0.0000  0.0000  0.5000 x3
S  0.0308  0.8352  0.7246 x18
O  0.0007  0.1558  0.1270 x18
O  0.0131  0.2730  0.3194 x18
O  0.0219  0.1189  0.3768 x18
O  0.0891  0.5240  0.3694 x18

Peak list (8 most intense, 2θ = 10–80°, in order of rising 2θ)
2θ (°)	d/Å	I_rel
11.9	7.448	53.1
16.8	5.271	19.7
20.7	4.297	21.9
26.7	3.336	100.0
31.8	2.817	13.7
31.9	2.809	22.6
42.0	2.149	12.7
53.6	1.708	12.3

No. 8
This entry pairs a crystal structure of KP2Au2 with its simulated X-ray powder pattern. Radiation: Cu Kα, 1.54184 Å. Structure: a GGA-PBE-relaxed structure.
Peak positions follow from Bragg's law for the DFT cell and can differ from measured ones.

Crystal structure
Cell lengths 3.412, 11.728, 11.413 Å; angles 90.00, 90.00, 90.00 degrees
Space group Cmcm (No. 63)
Symmetry-distinct sites (fractional):
K  0.000  0.020  0.250 x4
P  0.000  0.300  0.043 x8
Au  0.000  0.283  0.250 x4
Au  0.000  0.500  0.000 x4

Peak list (8 most intense, 2θ = 10–80°, in order of rising 2θ)
2θ (°)	d/Å	I_rel
21.7	4.090	100.0
27.2	3.276	32.5
28.3	3.149	57.8
30.5	2.932	39.0
31.4	2.853	53.0
31.5	2.841	60.1
38.4	2.344	54.1
44.3	2.045	26.7

Question: What is the formula in the second record?
Answer: YEr2Mg3Tl2Hg

Question: What is the formula in the fifth record?
Answer: Li6Zn2O7